# 1
# Ce2SmCu2Si2
Calculated X-ray powder pattern, Cu Kα. Input: a DFT-relaxed cell (PBE, Alexandria).
Kinematic intensities with the Lorentz-polarization factor, no thermal factor.

Atomic structure:
```
data_Ce2SmCu2Si2
_space_group_name_H-M_alt 'R -3 m'
_space_group_IT_number 166
_space_group_name_Hall '-R 3 2"'
_cell_length_a 4.1738
_cell_length_b 4.1738
_cell_length_c 27.5466
_cell_angle_alpha 90.00
_cell_angle_beta 90.00
_cell_angle_gamma 120.00
loop_
_atom_site_label
_atom_site_type_symbol
_atom_site_fract_x
_atom_site_fract_y
_atom_site_fract_z
_atom_site_occupancy
Ce1 Ce 0.0000 0.0000 0.1401 1
Sm1 Sm 0.0000 0.0000 0.0000 1
Cu1 Cu 0.0000 0.0000 0.4054 1
Si1 Si 0.0000 0.0000 0.2616 1
```

Most intense lines, 5° ≤ 2θ ≤ 70°, sorted by position:
2θ/deg  d [Å]  intensity
24.8  3.584  34
33.7  2.662  100
36.0  2.493  49
43.4  2.087  69
56.0  1.642  23
68.0  1.379  27

---

# 2
# CeCuSn2
Calculated X-ray powder pattern, Cu Kα. Input: a DFT-relaxed cell (PBE, Alexandria).
Kinematic intensities with the Lorentz-polarization factor, no thermal factor.

Atomic structure:
```
data_CeCuSn2
_space_group_name_H-M_alt 'I 4/m m m'
_space_group_IT_number 139
_space_group_name_Hall '-I 4 2'
_cell_length_a 4.616
_cell_length_b 4.616
_cell_length_c 17.206
_cell_angle_alpha 90.00
_cell_angle_beta 90.00
_cell_angle_gamma 90.00
loop_
_atom_site_label
_atom_site_type_symbol
_atom_site_fract_x
_atom_site_fract_y
_atom_site_fract_z
_atom_site_occupancy
Ce1 Ce 0.000 0.000 0.132 1
Cu1 Cu 0.000 0.500 0.250 1
Sn1 Sn 0.000 0.000 0.341 1
Sn2 Sn 0.000 0.500 0.000 1
```

Most intense lines, 5° ≤ 2θ ≤ 70°, sorted by position:
2θ/deg  d [Å]  intensity
29.3  3.052  12
34.5  2.600  100
39.0  2.308  44
56.4  1.632  15
58.7  1.573  12
67.8  1.382  28

---

What is the formula in the first record?
Ce2SmCu2Si2

---

What did the second record say?
# CeCuSn2
Calculated X-ray powder pattern, Cu Kα. Input: a DFT-relaxed cell (PBE, Alexandria).
Kinematic intensities with the Lorentz-polarization factor, no thermal factor.

Atomic structure:
```
data_CeCuSn2
_space_group_name_H-M_alt 'I 4/m m m'
_space_group_IT_number 139
_space_group_name_Hall '-I 4 2'
_cell_length_a 4.616
_cell_length_b 4.616
_cell_length_c 17.206
_cell_angle_alpha 90.00
_cell_angle_beta 90.00
_cell_angle_gamma 90.00
loop_
_atom_site_label
_atom_site_type_symbol
_atom_site_fract_x
_atom_site_fract_y
_atom_site_fract_z
_atom_site_occupancy
Ce1 Ce 0.000 0.000 0.132 1
Cu1 Cu 0.000 0.500 0.250 1
Sn1 Sn 0.000 0.000 0.341 1
Sn2 Sn 0.000 0.500 0.000 1
```

Most intense lines, 5° ≤ 2θ ≤ 70°, sorted by position:
2θ/deg  d [Å]  intensity
29.3  3.052  12
34.5  2.600  100
39.0  2.308  44
56.4  1.632  15
58.7  1.573  12
67.8  1.382  28